The following is a theoretical powder X-ray diffraction pattern of Ag5TeO5. It was derived from a structure optimized by DFT (GGA-PBE), using Cu Kα (λ = 1.5418 Å).
No peak broadening, texture or thermal motion is included.

Structure:
Lattice parameters (Å, degrees): 12.779 3.923 7.066 90.00 103.46 90.00
Space group C2/m (No. 12)
One atom of each set of equivalent atoms:
Ag: 0.000 0.000 0.000
Ag: 0.183 0.500 0.883
Ag: 0.188 0.500 0.296
Te: 0.000 0.000 0.500
O: 0.000 0.500 0.500
O: 0.090 0.000 0.305
O: 0.130 0.000 0.712

Main lines, by angle (10° ≤ 2θ ≤ 90°):
2theta  Rel. int.  (hkl)
31.41  92.7  3 1 0
32.58  43.3  2 0 2
34.15  100.0  4 0 -2
43.70  15.8  6 0 0
44.93  10.1  1 1 -3
46.29  23.9  0 2 0
55.60  16.3  5 1 2
57.61  9.8  7 1 -2
57.75  16.6  2 2 2
58.73  14.8  4 2 -2

The following is a theoretical powder X-ray diffraction pattern of RbMnCu2. It was derived from a structure optimized by DFT (GGA-PBE), using Cu Kα (λ = 1.5418 Å).
No peak broadening, texture or thermal motion is included.

Structure:
Lattice parameters (Å, degrees): 5.030 5.030 17.172 90.00 90.00 90.00
Space group I4_1/amd (No. 141, origin choice 2)
One atom of each set of equivalent atoms:
Rb: 0.000 0.250 0.375
Mn: 0.000 0.250 0.875
Cu: 0.000 0.000 0.000

Main lines, by angle (10° ≤ 2θ ≤ 90°):
2theta  Rel. int.  (hkl)
18.38  29.7  1 0 1
23.54  56.5  1 0 3
27.14  100.0  1 1 2
31.54  27.0  1 0 5
35.70  23.8  2 0 0
37.25  40.0  2 0 2
40.45  60.2  1 1 6
41.62  30.4  2 0 4
42.10  28.7  0 0 8
55.96  47.2  2 2 4

The following is a theoretical powder X-ray diffraction pattern of AgHg2F3. It was derived from a structure optimized by DFT (GGA-PBE), using Cu Kα (λ = 1.5418 Å).
No peak broadening, texture or thermal motion is included.

Structure:
Lattice parameters (Å, degrees): 3.658 7.938 8.883 104.94 101.77 103.08
Space group P-1 (No. 2)
One atom of each set of equivalent atoms:
Ag: 0.052 0.454 0.149
Hg: 0.110 0.263 0.457
Hg: 0.161 0.051 0.768
F: 0.287 0.760 0.314
F: 0.337 0.534 0.641
F: 0.387 0.274 0.996

Main lines, by angle (10° ≤ 2θ ≤ 90°):
2theta  Rel. int.  (hkl)
10.73  32.4  0 0 1
21.10  41.7  0 1 -2
26.09  100.0  -1 1 1
26.92  72.7  0 2 -2
29.67  58.0  0 2 1
31.76  48.3  1 -2 1
36.96  87.8  1 1 -3
47.86  38.9  1 0 3
48.08  33.0  -1 1 4
49.83  33.2  -2 1 1

The following is a theoretical powder X-ray diffraction pattern of RbLi2Si2Au2. It was derived from a structure optimized by DFT (GGA-PBE), using Cu Kα (λ = 1.5418 Å).
No peak broadening, texture or thermal motion is included.

Structure:
Lattice parameters (Å, degrees): 7.737 4.464 8.939 90.00 106.59 90.00
Space group C2/m (No. 12)
One atom of each set of equivalent atoms:
Rb: 0.000 0.000 0.000
Li: 0.130 0.000 0.395
Si: 0.050 0.500 0.647
Au: 0.233 0.000 0.696

Main lines, by angle (10° ≤ 2θ ≤ 90°):
2theta  Rel. int.  (hkl)
20.74  16.3  0 0 2
24.03  39.5  2 0 0
26.91  100.0  1 1 1
28.89  35.0  1 1 -2
31.32  25.9  0 0 3
36.35  19.7  2 0 2
40.39  50.8  0 2 0
49.21  19.4  4 0 0
51.94  39.1  1 1 4
52.04  19.9  2 0 -5

Copy entry 2 word for word.
The following is a theoretical powder X-ray diffraction pattern of RbMnCu2. It was derived from a structure optimized by DFT (GGA-PBE), using Cu Kα (λ = 1.5418 Å).
No peak broadening, texture or thermal motion is included.

Structure:
Lattice parameters (Å, degrees): 5.030 5.030 17.172 90.00 90.00 90.00
Space group I4_1/amd (No. 141, origin choice 2)
One atom of each set of equivalent atoms:
Rb: 0.000 0.250 0.375
Mn: 0.000 0.250 0.875
Cu: 0.000 0.000 0.000

Main lines, by angle (10° ≤ 2θ ≤ 90°):
2theta  Rel. int.  (hkl)
18.38  29.7  1 0 1
23.54  56.5  1 0 3
27.14  100.0  1 1 2
31.54  27.0  1 0 5
35.70  23.8  2 0 0
37.25  40.0  2 0 2
40.45  60.2  1 1 6
41.62  30.4  2 0 4
42.10  28.7  0 0 8
55.96  47.2  2 2 4